1.
Simulated powder XRD pattern
Compound: Tb2Pr5YTm
Radiation: Cu Kα, 1.54184 Å
Structure: a structure optimized by DFT (GGA-PBE)

```
Tb2Pr5YTm
1.0
2.736 -11.005 0.000
2.736 11.005 0.000
0.000 0.000 10.478
Tb Pr Y Tm
4 10 2 2
direct
0.115 0.885 0.500
0.115 0.885 0.994
0.885 0.115 0.000
0.885 0.115 0.494
0.000 0.000 0.247
0.000 0.000 0.747
0.279 0.721 0.557
0.280 0.720 0.939
0.377 0.623 0.247
0.500 0.500 0.497
0.500 0.500 0.997
0.623 0.377 0.747
0.720 0.280 0.439
0.721 0.279 0.057
0.399 0.601 0.747
0.601 0.399 0.247
0.213 0.787 0.248
0.787 0.213 0.748
```

Peak list (10 most intense, 10 to 80 degrees two-theta, by intensity)
- 31.17 deg, intensity 1000
- 32.74 deg, intensity 381
- 30.64 deg, intensity 197
- 26.50 deg, intensity 177
- 57.45 deg, intensity 176
- 34.23 deg, intensity 174
- 48.09 deg, intensity 139
- 59.85 deg, intensity 109
- 32.55 deg, intensity 96
- 25.73 deg, intensity 85

***

2.
Simulated powder XRD pattern
Compound: Hg3BrF5
Radiation: Cu Kα, 1.54184 Å
Structure: a structure optimized by DFT (GGA-PBE)

```
Hg3BrF5
1.0
5.673 0.000 0.000
0.000 3.814 0.000
-1.293 0.000 15.944
Hg Br F
6 2 10
direct
0.000 0.000 0.000
0.035 0.000 0.653
0.463 0.500 0.848
0.500 0.500 0.500
0.537 0.500 0.152
0.965 0.000 0.347
0.247 0.000 0.216
0.753 0.000 0.784
0.164 0.500 0.410
0.220 0.500 0.718
0.232 0.500 0.036
0.277 0.000 0.894
0.326 0.000 0.561
0.674 0.000 0.439
0.723 0.000 0.106
0.768 0.500 0.964
0.780 0.500 0.282
0.836 0.500 0.590
```

Peak list (10 most intense, 10 to 80 degrees two-theta, by intensity)
- 23.89 deg, intensity 1000
- 28.22 deg, intensity 954
- 22.01 deg, intensity 711
- 28.81 deg, intensity 688
- 44.38 deg, intensity 427
- 42.24 deg, intensity 353
- 43.48 deg, intensity 319
- 47.67 deg, intensity 284
- 54.04 deg, intensity 279
- 45.57 deg, intensity 266

***

3.
Simulated powder XRD pattern
Compound: Tb6CeDy3
Radiation: Cu Kα, 1.54184 Å
Structure: a structure optimized by DFT (GGA-PBE)

```
Tb6CeDy3
1.0
6.149 0.000 0.000
1.043 6.070 0.000
3.068 2.584 8.494
Tb Ce Dy
6 1 3
direct
0.099 0.001 0.300
0.204 0.500 0.600
0.301 0.998 0.898
0.699 0.002 0.102
0.796 0.500 0.400
0.901 0.999 0.700
0.500 0.000 0.500
0.000 0.500 0.000
0.401 0.497 0.201
0.599 0.503 0.799
```

Peak list (10 most intense, 10 to 80 degrees two-theta, by intensity)
- 30.83 deg, intensity 1000
- 35.71 deg, intensity 338
- 51.48 deg, intensity 239
- 61.11 deg, intensity 179
- 35.81 deg, intensity 168
- 61.21 deg, intensity 142
- 51.38 deg, intensity 120
- 61.27 deg, intensity 106
- 64.16 deg, intensity 62
- 64.28 deg, intensity 61

***

4.
Simulated powder XRD pattern
Compound: Ca3AcMg8
Radiation: Cu Kα, 1.54184 Å
Structure: a structure optimized by DFT (GGA-PBE)

```
Ca3AcMg8
1.0
3.130 1.807 10.217
-3.130 1.807 10.217
0.000 -3.614 10.217
Ca Ac Mg
3 1 8
direct
0.000 0.000 0.000
0.125 0.125 0.125
0.498 0.498 0.498
0.624 0.624 0.624
0.062 0.062 0.560
0.062 0.560 0.062
0.063 0.562 0.562
0.312 0.312 0.312
0.560 0.062 0.062
0.562 0.063 0.562
0.562 0.562 0.063
0.811 0.811 0.811
```

Peak list (10 most intense, 10 to 80 degrees two-theta, by intensity)
- 33.58 deg, intensity 1000
- 28.52 deg, intensity 676
- 17.35 deg, intensity 424
- 53.82 deg, intensity 340
- 16.61 deg, intensity 299
- 50.51 deg, intensity 271
- 59.03 deg, intensity 210
- 20.06 deg, intensity 197
- 21.89 deg, intensity 168
- 35.12 deg, intensity 160